Record 1
Structure and theoretical powder X-ray diffraction pattern of Tb2Zr2O7 (a structure optimized by DFT (GGA-PBE); CuKα).
Peak positions follow from Bragg's law for the DFT cell and can differ from measured ones.

Peak list (8 most intense, 15 to 90 degrees two-theta, in order of rising 2θ)
2θ/deg, d/Å, I/Imax
25.23, 3.530, 74
28.08, 3.177, 100
30.63, 2.919, 69
32.27, 2.774, 40
45.04, 2.013, 22
49.62, 1.837, 38
51.38, 1.778, 23
58.01, 1.590, 30

Structural model:
abc: 7.3506 7.3506 12.6864
angles: 90.00 90.00 90.00
Element x y z (fractional)
Tb (0.1271, 0.3623, 0.3849)
Tb (0.1377, 0.6271, 0.6349)
Tb (0.3623, 0.1271, 0.6151)
Tb (0.3729, 0.8623, 0.8651)
Tb (0.6271, 0.1377, 0.3651)
Tb (0.6377, 0.8729, 0.1151)
Tb (0.8623, 0.3729, 0.1349)
Tb (0.8729, 0.6377, 0.8849)
Zr (0.1002, 0.8700, 0.0950)
Zr (0.1300, 0.8998, 0.4050)
Zr (0.3700, 0.3998, 0.8450)
Zr (0.3998, 0.3700, 0.1550)
Zr (0.6002, 0.6300, 0.6550)
Zr (0.6300, 0.6002, 0.3450)
Zr (0.8700, 0.1002, 0.9050)
Zr (0.8998, 0.1300, 0.5950)
O (0.0693, 0.9068, 0.9150)
O (0.0854, 0.3272, 0.5738)
O (0.0932, 0.9307, 0.5850)
O (0.1382, 0.3442, 0.2049)
O (0.1509, 0.8491, 0.2500)
O (0.1558, 0.6382, 0.4549)
O (0.1728, 0.5854, 0.8238)
O (0.3272, 0.0854, 0.4262)
O (0.3442, 0.1382, 0.7951)
O (0.3491, 0.3491, 0.0000)
O (0.3618, 0.8442, 0.0451)
O (0.4068, 0.4307, 0.6650)
O (0.4146, 0.8272, 0.6762)
O (0.4307, 0.4068, 0.3350)
O (0.5693, 0.5932, 0.8350)
O (0.5854, 0.1728, 0.1762)
O (0.5932, 0.5693, 0.1650)
O (0.6382, 0.1558, 0.5451)
O (0.6509, 0.6509, 0.5000)
O (0.6558, 0.8618, 0.2951)
O (0.6728, 0.9146, 0.9262)
O (0.8272, 0.4146, 0.3238)
O (0.8442, 0.3618, 0.9549)
O (0.8491, 0.1509, 0.7500)
O (0.8618, 0.6558, 0.7049)
O (0.9068, 0.0693, 0.0850)
O (0.9146, 0.6728, 0.0738)
O (0.9307, 0.0932, 0.4150)

---

Record 2
Structure and theoretical powder X-ray diffraction pattern of LuInPt2 (a structure optimized by DFT (GGA-PBE); CuKα).
Peak positions follow from Bragg's law for the DFT cell and can differ from measured ones.

Peak list (8 most intense, 15 to 90 degrees two-theta, in order of rising 2θ)
2θ/deg, d/Å, I/Imax
22.91, 3.881, 2
26.52, 3.361, 2
37.86, 2.377, 100
44.71, 2.027, 1
54.61, 1.681, 17
61.71, 1.503, 1
68.36, 1.372, 36
80.89, 1.188, 11

Structural model:
abc: 4.7533 4.7533 4.7533
angles: 60.00 60.00 60.00
Element x y z (fractional)
Lu (0.0000, 0.0000, 0.0000)
In (0.5000, 0.5000, 0.5000)
Pt (0.2500, 0.2500, 0.2500)
Pt (0.7500, 0.7500, 0.7500)